No. 1
Diffraction record for ZrTe2Ir. The X-ray diffraction stick pattern is simulated, not measured: it uses DFT lattice parameters and positions (PBE) and a wavelength of 1.5418 Å.
No peak broadening, texture or thermal motion is included.

Structural model:
Cell lengths 7.5599, 4.3662, 6.8341 Å; angles 90.00, 90.71, 90.00 degrees
Space group Cm (No. 8)
Unique sites:
Zr 0.0000 0.0000 0.0000 x2
Te 0.1700 0.5000 0.2969 x2
Te 0.3306 0.0000 0.7629 x2
Ir 0.3353 0.0000 0.1617 x2

Principal peaks in the range 2θ from 10° to 90°, sorted by position:
13.0 deg, rel. 100
23.5 deg, rel. 61
26.1 deg, rel. 20
26.9 deg, rel. 36
27.1 deg, rel. 28
35.3 deg, rel. 66
35.6 deg, rel. 34
41.4 deg, rel. 94
46.4 deg, rel. 29
55.7 deg, rel. 19



No. 2
Diffraction record for CrMoIrRh. The X-ray diffraction stick pattern is simulated, not measured: it uses DFT lattice parameters and positions (PBE) and a wavelength of 1.5418 Å.
No peak broadening, texture or thermal motion is included.

Structural model:
Cell lengths 3.8270, 3.8376, 3.8430 Å; angles 90.00, 90.00, 90.00 degrees
Space group Pmmm (No. 47)
Unique sites:
Cr 0.0000 0.0000 0.0000 x1
Mo 0.0000 0.5000 0.5000 x1
Ir 0.5000 0.0000 0.5000 x1
Rh 0.5000 0.5000 0.0000 x1

Principal peaks in the range 2θ from 10° to 90°, sorted by position:
23.2 deg, rel. 20
33.0 deg, rel. 17
40.7 deg, rel. 100
47.3 deg, rel. 32
47.5 deg, rel. 16
69.3 deg, rel. 20
83.5 deg, rel. 12
83.6 deg, rel. 12
83.8 deg, rel. 12
88.2 deg, rel. 11



No. 3
Diffraction record for Sc8Zn2Ni. The X-ray diffraction stick pattern is simulated, not measured: it uses DFT lattice parameters and positions (PBE) and a wavelength of 1.5418 Å.
No peak broadening, texture or thermal motion is included.

Structural model:
Cell lengths 16.1003, 4.8002, 6.3188 Å; angles 90.00, 109.46, 90.00 degrees
Space group C2/m (No. 12)
Unique sites:
Sc 0.0229 0.0000 0.2839 x4
Sc 0.0916 0.5000 0.9376 x4
Sc 0.1587 0.5000 0.4616 x4
Sc 0.1985 0.0000 0.7992 x4
Zn 0.1814 0.0000 0.2084 x4
Ni 0.0000 0.5000 0.5000 x2

Principal peaks in the range 2θ from 10° to 90°, sorted by position:
23.3 deg, rel. 40
33.9 deg, rel. 43
34.2 deg, rel. 46
34.9 deg, rel. 28
35.0 deg, rel. 57
35.5 deg, rel. 28
37.5 deg, rel. 100
37.6 deg, rel. 97
39.4 deg, rel. 66
43.7 deg, rel. 28



No. 4
Diffraction record for Tc2WSe5. The X-ray diffraction stick pattern is simulated, not measured: it uses DFT lattice parameters and positions (PBE) and a wavelength of 1.5418 Å.
No peak broadening, texture or thermal motion is included.

Structural model:
Cell lengths 11.5582, 7.1881, 5.7825 Å; angles 90.00, 113.28, 90.00 degrees
Space group Cm (No. 8)
Unique sites:
Tc 0.0000 0.0000 0.0000 x2
Tc 0.0999 0.5000 0.5946 x2
W 0.1159 0.5000 0.0900 x2
Se 0.1185 0.2298 0.3488 x4
Se 0.2920 0.5000 0.9604 x2
Se 0.4621 0.2105 0.7446 x4

Principal peaks in the range 2θ from 10° to 90°, sorted by position:
14.9 deg, rel. 96
16.7 deg, rel. 100
18.4 deg, rel. 33
19.8 deg, rel. 21
28.1 deg, rel. 27
30.0 deg, rel. 37
31.2 deg, rel. 21
40.2 deg, rel. 71
42.3 deg, rel. 43
50.8 deg, rel. 19



No. 5
Diffraction record for CdIn3Bi. The X-ray diffraction stick pattern is simulated, not measured: it uses DFT lattice parameters and positions (PBE) and a wavelength of 1.5418 Å.
No peak broadening, texture or thermal motion is included.

Structural model:
Cell lengths 10.1016, 5.3819, 10.2355 Å; angles 90.00, 92.29, 90.00 degrees
Space group C2/m (No. 12)
Unique sites:
Cd 0.1353 0.0000 0.4477 x4
In 0.0270 0.0000 0.1589 x4
In 0.0776 0.5000 0.6397 x4
In 0.2244 0.5000 0.2726 x4
Bi 0.1599 0.5000 0.9512 x4

Principal peaks in the range 2θ from 10° to 90°, sorted by position:
31.4 deg, rel. 16
32.3 deg, rel. 86
32.6 deg, rel. 100
33.3 deg, rel. 48
38.8 deg, rel. 25
40.5 deg, rel. 26
52.1 deg, rel. 21
53.4 deg, rel. 21
59.1 deg, rel. 18
68.3 deg, rel. 16



No. 6
Diffraction record for Ac2TlIrPb. The X-ray diffraction stick pattern is simulated, not measured: it uses DFT lattice parameters and positions (PBE) and a wavelength of 1.5418 Å.
No peak broadening, texture or thermal motion is included.

Structural model:
Cell lengths 8.9434, 4.3462, 9.1978 Å; angles 90.00, 116.27, 90.00 degrees
Space group P2_1/m (No. 11)
Unique sites:
Ac 0.1193 0.2500 0.3356 x2
Ac 0.2760 0.2500 0.9958 x2
Tl 0.4591 0.7500 0.3513 x2
Ir 0.1197 0.7500 0.1063 x2
Pb 0.2877 0.7500 0.6956 x2

Principal peaks in the range 2θ from 10° to 90°, sorted by position:
11.5 deg, rel. 25
28.3 deg, rel. 100
28.7 deg, rel. 33
30.2 deg, rel. 33
31.0 deg, rel. 53
32.6 deg, rel. 36
35.5 deg, rel. 57
36.8 deg, rel. 44
41.6 deg, rel. 38
41.8 deg, rel. 28



No. 7
Diffraction record for Na6PaI12. The X-ray diffraction stick pattern is simulated, not measured: it uses DFT lattice parameters and positions (PBE) and a wavelength of 1.5418 Å.
No peak broadening, texture or thermal motion is included.

Structural model:
Cell lengths 14.2347, 14.2347, 14.1716 Å; angles 90.00, 90.00, 120.00 degrees
Space group R-3 (No. 148, hexagonal axes)
Unique sites:
Na 0.9997 0.2277 0.3906 x18
Pa 0.0000 0.0000 0.0000 x3
I 0.0008 0.2154 0.6152 x18
I 0.0357 0.8527 0.8784 x18

Principal peaks in the range 2θ from 10° to 90°, sorted by position:
20.1 deg, rel. 40
22.8 deg, rel. 100
26.2 deg, rel. 25
28.8 deg, rel. 17
29.0 deg, rel. 54
31.7 deg, rel. 49
33.3 deg, rel. 41
38.5 deg, rel. 21
43.4 deg, rel. 17
46.1 deg, rel. 22



No. 8
Diffraction record for LaZrCu2. The X-ray diffraction stick pattern is simulated, not measured: it uses DFT lattice parameters and positions (PBE) and a wavelength of 1.5418 Å.
No peak broadening, texture or thermal motion is included.

Structural model:
Cell lengths 3.4069, 3.4069, 7.1298 Å; angles 90.00, 90.00, 90.00 degrees
Space group P4/mmm (No. 123)
Unique sites:
La 0.0000 0.0000 0.0000 x1
Zr 0.0000 0.0000 0.5000 x1
Cu 0.5000 0.5000 0.3033 x2

Principal peaks in the range 2θ from 10° to 90°, sorted by position:
25.0 deg, rel. 9
26.2 deg, rel. 9
29.0 deg, rel. 13
36.5 deg, rel. 100
37.3 deg, rel. 56
53.8 deg, rel. 19
54.2 deg, rel. 7
58.4 deg, rel. 9
65.1 deg, rel. 11
66.8 deg, rel. 32



No. 9
Diffraction record for Li7Y7Zr9S32. The X-ray diffraction stick pattern is simulated, not measured: it uses DFT lattice parameters and positions (PBE) and a wavelength of 1.5418 Å.
No peak broadening, texture or thermal motion is included.

Structural model:
Cell lengths 7.6967, 7.7582, 25.1767 Å; angles 82.54, 82.24, 61.19 degrees
Space group P1 (No. 1)
Unique sites:
Li 0.0000 0.0000 0.0000 x1
Li 0.0662 0.0646 0.8118 x1
Li 0.2623 0.2387 0.2474 x1
Li 0.5079 0.4935 0.4998 x1
Li 0.5751 0.5552 0.3117 x1
Li 0.7506 0.7473 0.7527 x1
Li 0.8229 0.8102 0.5609 x1
Y 0.0317 0.5326 0.9077 x1
Y 0.0448 0.5243 0.4048 x1
Y 0.2879 0.7786 0.6559 x1
Y 0.5292 0.0346 0.9075 x1
Y 0.5433 0.0252 0.4041 x1
Y 0.7854 0.2766 0.1544 x1
Y 0.7872 0.2795 0.6559 x1
Zr 0.0443 0.0255 0.4051 x1
Zr 0.1665 0.1521 0.5309 x1
Zr 0.2878 0.2798 0.6564 x1
Zr 0.2934 0.7706 0.1531 x1
Zr 0.4092 0.4064 0.7820 x1
Zr 0.5264 0.5296 0.9080 x1
Zr 0.6539 0.6564 0.0320 x1
Zr 0.7859 0.7709 0.1540 x1
Zr 0.9211 0.8971 0.2793 x1
S 0.0924 0.6099 0.2147 x1
S 0.1023 0.0641 0.2163 x1
S 0.1106 0.1024 0.7136 x1
S 0.1194 0.5704 0.7181 x1
S 0.2102 0.7348 0.3419 x1
S 0.2200 0.2019 0.3461 x1
S 0.2304 0.2342 0.8409 x1
S 0.2406 0.6980 0.8437 x1
S 0.3337 0.8610 0.4671 x1
S 0.3448 0.3240 0.4700 x1
S 0.3549 0.3582 0.9646 x1
S 0.3636 0.8238 0.9700 x1
S 0.4551 0.9880 0.5930 x1
S 0.4643 0.4554 0.5978 x1
S 0.4681 0.4891 0.0937 x1
S 0.4824 0.9408 0.0982 x1
S 0.5765 0.1152 0.7187 x1
S 0.5869 0.5792 0.7216 x1
S 0.5939 0.6049 0.2129 x1
S 0.6286 0.0625 0.2180 x1
S 0.6989 0.2418 0.8440 x1
S 0.7080 0.7098 0.8500 x1
S 0.7464 0.7227 0.3379 x1
S 0.7562 0.1882 0.3408 x1
S 0.8200 0.3668 0.9709 x1
S 0.8268 0.8338 0.9745 x1
S 0.8661 0.8489 0.4622 x1
S 0.8766 0.3161 0.4669 x1
S 0.9448 0.4906 0.0937 x1
S 0.9786 0.9441 0.0990 x1
S 0.9888 0.9795 0.5894 x1
S 0.9987 0.4427 0.5924 x1

Principal peaks in the range 2θ from 10° to 90°, sorted by position:
13.8 deg, rel. 52
13.9 deg, rel. 47
14.2 deg, rel. 67
26.8 deg, rel. 22
27.1 deg, rel. 22
27.4 deg, rel. 30
32.7 deg, rel. 50
32.9 deg, rel. 100
46.9 deg, rel. 35
47.2 deg, rel. 34



No. 10
Diffraction record for La2ZnPd3. The X-ray diffraction stick pattern is simulated, not measured: it uses DFT lattice parameters and positions (PBE) and a wavelength of 1.5418 Å.
No peak broadening, texture or thermal motion is included.

Structural model:
Cell lengths 7.5765, 9.0540, 15.8792 Å; angles 90.00, 90.00, 90.00 degrees
Space group Fmmm (No. 69)
Unique sites:
La 0.2469 0.0000 0.0000 x8
La 0.2500 0.2500 0.2500 x8
Zn 0.0000 0.0000 0.3340 x8
Pd 0.0000 0.0000 0.1742 x8
Pd 0.0000 0.2409 0.4142 x16

Principal peaks in the range 2θ from 10° to 90°, sorted by position:
32.7 deg, rel. 49
32.8 deg, rel. 100
39.4 deg, rel. 59
39.8 deg, rel. 29
48.0 deg, rel. 17
52.0 deg, rel. 14
52.4 deg, rel. 25
63.8 deg, rel. 28
64.1 deg, rel. 14
67.5 deg, rel. 12